Theoretical X-ray diffraction stick pattern of KAgCl3 for λ = 1.5418 Å (Cu Kα), from a PBE-relaxed structure.
Lines closer than 0.1° are merged.

Unit cell a=5.134 b=5.134 c=5.140 alpha=90.00 beta=90.00 gamma=90.00
Atoms (fractional coordinates):
K (0.000, 0.000, 0.000)
Ag (0.500, 0.500, 0.488)
Cl (0.000, 0.500, 0.486)
Cl (0.500, 0.000, 0.486)
Cl (0.500, 0.500, 0.988)

The 10 most intense peaks (2θ = 5–70°), in order of rising 2θ:
2theta	intensity
17.27	99
24.51	100
34.94	98
39.22	48
43.15	44
50.25	62
53.53	23
56.68	19
62.66	20
68.34	20

***

Theoretical X-ray diffraction stick pattern of KAgCl3 for λ = 1.5418 Å (Cu Kα), from a PBE-relaxed structure.
Lines closer than 0.1° are merged.

Unit cell a=7.205 b=7.205 c=7.205 alpha=60.55 beta=60.55 gamma=60.55
Atoms (fractional coordinates):
K (0.000, 0.000, 0.000)
K (0.500, 0.500, 0.500)
Ag (0.261, 0.261, 0.261)
Ag (0.761, 0.761, 0.761)
Cl (0.012, 0.462, 0.560)
Cl (0.060, 0.962, 0.512)
Cl (0.462, 0.560, 0.012)
Cl (0.512, 0.060, 0.962)
Cl (0.560, 0.012, 0.462)
Cl (0.962, 0.512, 0.060)

The 10 most intense peaks (2θ = 5–70°), in order of rising 2θ:
2theta	intensity
17.34	100
24.51	51
24.72	55
35.09	93
39.25	22
39.53	29
43.14	18
43.27	27
50.24	25
50.69	29

***

Theoretical X-ray diffraction stick pattern of KAgCl3 for λ = 1.5418 Å (Cu Kα), from a PBE-relaxed structure.
Lines closer than 0.1° are merged.

Unit cell a=5.128 b=5.128 c=5.129 alpha=90.00 beta=90.00 gamma=90.00
Atoms (fractional coordinates):
K (0.000, 0.000, 0.000)
Ag (0.500, 0.500, 0.495)
Cl (0.000, 0.500, 0.494)
Cl (0.500, 0.000, 0.494)
Cl (0.500, 0.500, 0.995)

The 10 most intense peaks (2θ = 5–70°), in order of rising 2θ:
2theta	intensity
17.29	99
24.55	100
34.99	98
39.28	48
43.21	44
50.32	62
53.61	23
56.77	19
62.76	20
68.45	20

***

Theoretical X-ray diffraction stick pattern of K2LaAgCl6 for λ = 1.5418 Å (Cu Kα), from a PBE-relaxed structure.
Lines closer than 0.1° are merged.

Unit cell a=7.768 b=7.768 c=7.768 alpha=60.00 beta=60.00 gamma=60.00
Atoms (fractional coordinates):
K (0.250, 0.250, 0.250)
K (0.750, 0.750, 0.750)
La (0.000, 0.000, 0.000)
Ag (0.500, 0.500, 0.500)
Cl (0.251, 0.251, 0.749)
Cl (0.251, 0.749, 0.251)
Cl (0.251, 0.749, 0.749)
Cl (0.749, 0.251, 0.251)
Cl (0.749, 0.251, 0.749)
Cl (0.749, 0.749, 0.251)

The 10 most intense peaks (2θ = 5–70°), in order of rising 2θ:
2theta	intensity
16.14	100
22.90	100
32.61	91
36.58	51
40.22	46
46.78	61
49.80	26
52.70	21
58.18	20
63.36	23

***

Theoretical X-ray diffraction stick pattern of K2LuAgCl6 for λ = 1.5418 Å (Cu Kα), from a PBE-relaxed structure.
Lines closer than 0.1° are merged.

Unit cell a=7.496 b=7.496 c=7.496 alpha=60.00 beta=60.00 gamma=60.00
Atoms (fractional coordinates):
K (0.250, 0.250, 0.250)
K (0.750, 0.750, 0.750)
Lu (0.000, 0.000, 0.000)
Ag (0.500, 0.500, 0.500)
Cl (0.243, 0.243, 0.757)
Cl (0.243, 0.757, 0.243)
Cl (0.243, 0.757, 0.757)
Cl (0.757, 0.243, 0.243)
Cl (0.757, 0.243, 0.757)
Cl (0.757, 0.757, 0.243)

The 10 most intense peaks (2θ = 5–70°), in order of rising 2θ:
2theta	intensity
16.72	100
23.74	99
33.82	78
37.96	51
41.74	45
48.58	51
51.74	26
54.76	20
60.50	17
65.94	23

***

Theoretical X-ray diffraction stick pattern of K2NdAgCl6 for λ = 1.5418 Å (Cu Kα), from a PBE-relaxed structure.
Lines closer than 0.1° are merged.

Unit cell a=7.714 b=7.714 c=7.714 alpha=60.00 beta=60.00 gamma=60.00
Atoms (fractional coordinates):
K (0.250, 0.250, 0.250)
K (0.750, 0.750, 0.750)
Nd (0.000, 0.000, 0.000)
Ag (0.500, 0.500, 0.500)
Cl (0.250, 0.250, 0.750)
Cl (0.250, 0.750, 0.250)
Cl (0.250, 0.750, 0.750)
Cl (0.750, 0.250, 0.250)
Cl (0.750, 0.250, 0.750)
Cl (0.750, 0.750, 0.250)

The 10 most intense peaks (2θ = 5–70°), in order of rising 2θ:
2theta	intensity
16.25	100
23.06	100
32.84	88
36.85	51
40.51	46
47.13	59
50.18	26
53.10	20
58.63	20
63.86	23

***

Theoretical X-ray diffraction stick pattern of K2PrAgCl6 for λ = 1.5418 Å (Cu Kα), from a PBE-relaxed structure.
Lines closer than 0.1° are merged.

Unit cell a=7.739 b=7.739 c=7.739 alpha=60.00 beta=60.00 gamma=60.00
Atoms (fractional coordinates):
K (0.250, 0.250, 0.250)
K (0.750, 0.750, 0.750)
Pr (0.000, 0.000, 0.000)
Ag (0.500, 0.500, 0.500)
Cl (0.250, 0.250, 0.750)
Cl (0.250, 0.750, 0.250)
Cl (0.250, 0.750, 0.750)
Cl (0.750, 0.250, 0.250)
Cl (0.750, 0.250, 0.750)
Cl (0.750, 0.750, 0.250)

The 10 most intense peaks (2θ = 5–70°), in order of rising 2θ:
2theta	intensity
16.20	100
22.98	100
32.73	90
36.72	51
40.37	46
46.97	60
50.00	26
52.91	21
58.42	20
63.62	23

***

Theoretical X-ray diffraction stick pattern of K2SmAgCl6 for λ = 1.5418 Å (Cu Kα), from a PBE-relaxed structure.
Lines closer than 0.1° are merged.

Unit cell a=7.663 b=7.663 c=7.663 alpha=60.00 beta=60.00 gamma=60.00
Atoms (fractional coordinates):
K (0.250, 0.250, 0.250)
K (0.750, 0.750, 0.750)
Sm (0.000, 0.000, 0.000)
Ag (0.500, 0.500, 0.500)
Cl (0.248, 0.248, 0.752)
Cl (0.248, 0.752, 0.248)
Cl (0.248, 0.752, 0.752)
Cl (0.752, 0.248, 0.248)
Cl (0.752, 0.248, 0.752)
Cl (0.752, 0.752, 0.248)

The 10 most intense peaks (2θ = 5–70°), in order of rising 2θ:
2theta	intensity
16.36	100
23.22	100
33.06	86
37.10	51
40.79	46
47.46	58
50.53	26
53.48	20
59.06	19
64.33	23

***

Theoretical X-ray diffraction stick pattern of K2TlAgCl6 for λ = 1.5418 Å (Cu Kα), from a PBE-relaxed structure.
Lines closer than 0.1° are merged.

Unit cell a=7.509 b=7.509 c=7.509 alpha=60.00 beta=60.00 gamma=60.00
Atoms (fractional coordinates):
K (0.250, 0.250, 0.250)
K (0.750, 0.750, 0.750)
Tl (0.000, 0.000, 0.000)
Ag (0.500, 0.500, 0.500)
Cl (0.249, 0.249, 0.751)
Cl (0.249, 0.751, 0.249)
Cl (0.249, 0.751, 0.751)
Cl (0.751, 0.249, 0.249)
Cl (0.751, 0.249, 0.751)
Cl (0.751, 0.751, 0.249)

The 10 most intense peaks (2θ = 5–70°), in order of rising 2θ:
2theta	intensity
16.70	100
23.70	98
33.76	72
37.89	52
41.67	45
48.50	48
51.65	26
54.67	20
60.40	16
65.82	23

***

Theoretical X-ray diffraction stick pattern of K2TmAgCl6 for λ = 1.5418 Å (Cu Kα), from a PBE-relaxed structure.
Lines closer than 0.1° are merged.

Unit cell a=7.524 b=7.524 c=7.524 alpha=60.00 beta=60.00 gamma=60.00
Atoms (fractional coordinates):
K (0.250, 0.250, 0.250)
K (0.750, 0.750, 0.750)
Tm (0.000, 0.000, 0.000)
Ag (0.500, 0.500, 0.500)
Cl (0.243, 0.243, 0.757)
Cl (0.243, 0.757, 0.243)
Cl (0.243, 0.757, 0.757)
Cl (0.757, 0.243, 0.243)
Cl (0.757, 0.243, 0.757)
Cl (0.757, 0.757, 0.243)

The 10 most intense peaks (2θ = 5–70°), in order of rising 2θ:
2theta	intensity
16.66	100
23.65	99
33.69	79
37.81	51
41.58	45
48.39	53
51.53	26
54.54	20
60.26	17
65.66	23

***

Theoretical X-ray diffraction stick pattern of Na2LuAgCl6 for λ = 1.5418 Å (Cu Kα), from a PBE-relaxed structure.
Lines closer than 0.1° are merged.

Unit cell a=7.441 b=7.441 c=7.441 alpha=60.00 beta=60.00 gamma=60.00
Atoms (fractional coordinates):
Na (0.250, 0.250, 0.250)
Na (0.750, 0.750, 0.750)
Lu (0.000, 0.000, 0.000)
Ag (0.500, 0.500, 0.500)
Cl (0.243, 0.243, 0.757)
Cl (0.243, 0.757, 0.243)
Cl (0.243, 0.757, 0.757)
Cl (0.757, 0.243, 0.243)
Cl (0.757, 0.243, 0.757)
Cl (0.757, 0.757, 0.243)

The 10 most intense peaks (2θ = 5–70°), in order of rising 2θ:
2theta	intensity
16.85	100
23.92	60
34.08	54
38.25	49
42.07	28
48.97	36
52.15	24
55.21	13
61.01	12
66.49	15

***

Theoretical X-ray diffraction stick pattern of AgMo6Cl13 for λ = 1.5418 Å (Cu Kα), from a PBE-relaxed structure.
Lines closer than 0.1° are merged.

Unit cell a=9.105 b=9.203 c=14.183 alpha=96.19 beta=102.41 gamma=114.43
Atoms (fractional coordinates):
Ag (0.018, 0.253, 0.273)
Ag (0.982, 0.747, 0.727)
Mo (0.298, 0.997, 0.436)
Mo (0.314, 0.382, 0.043)
Mo (0.363, 0.545, 0.901)
Mo (0.395, 0.772, 0.474)
Mo (0.447, 0.010, 0.620)
Mo (0.456, 0.310, 0.913)
Mo (0.544, 0.690, 0.087)
Mo (0.553, 0.990, 0.380)
Mo (0.605, 0.228, 0.526)
Mo (0.637, 0.455, 0.099)
Mo (0.686, 0.618, 0.957)
Mo (0.702, 0.003, 0.564)
Cl (0.036, 0.006, 0.353)
Cl (0.067, 0.223, 0.097)
Cl (0.154, 0.252, 0.867)
Cl (0.161, 0.789, 0.529)
Cl (0.180, 0.591, 0.766)
Cl (0.237, 0.611, 0.029)
Cl (0.254, 0.473, 0.434)
Cl (0.259, 0.773, 0.303)
Cl (0.354, 0.216, 0.574)
Cl (0.390, 0.047, 0.791)
Cl (0.412, 0.167, 0.051)
Cl (0.459, 0.203, 0.350)
Cl (0.492, 0.524, 0.214)
Cl (0.508, 0.476, 0.786)
Cl (0.541, 0.797, 0.650)
Cl (0.588, 0.833, 0.949)
Cl (0.610, 0.953, 0.209)
Cl (0.646, 0.784, 0.426)
Cl (0.741, 0.227, 0.697)
Cl (0.746, 0.527, 0.566)
Cl (0.763, 0.389, 0.971)
Cl (0.820, 0.409, 0.234)
Cl (0.839, 0.211, 0.471)
Cl (0.846, 0.748, 0.133)
Cl (0.933, 0.777, 0.903)
Cl (0.964, 0.994, 0.647)

The 10 most intense peaks (2θ = 5–70°), in order of rising 2θ:
2theta	intensity
11.14	78
11.35	71
12.86	27
13.11	28
13.66	100
13.85	94
14.58	74
42.20	15
43.28	15
44.31	18